For Cs3GaBr5, a DFT-relaxed cell (GGA-PBE, Alexandria) gives the simulated powder diffractogram in this record (λ = 1.5418 Å (Cu Kα)).
Lines closer than 0.1° are merged.

Peak list (8 most intense, 5 to 70 degrees two-theta, by intensity)
29.29°, intensity 100, hkl 3 1 0
23.07°, intensity 42, hkl 2 1 1
21.12°, intensity 21, hkl 2 0 1
33.50°, intensity 16, hkl 2 2 2
57.40°, intensity 16, hkl 6 0 0
26.18°, intensity 15, hkl 2 2 0
55.62°, intensity 14, hkl 5 2 2
41.96°, intensity 11, hkl 4 2 0

Unit cell a=9.6291 b=9.6291 c=8.6519 alpha=90.00 beta=90.00 gamma=90.00
Atoms (fractional coordinates):
Cs: 0.0000 0.0000 0.0000
Cs: 0.1631 0.3369 0.5000
Cs: 0.3369 0.8369 0.5000
Cs: 0.5000 0.5000 0.0000
Cs: 0.6631 0.1631 0.5000
Cs: 0.8369 0.6631 0.5000
Ga: 0.0000 0.5000 0.0000
Ga: 0.5000 0.0000 0.0000
Br: 0.0000 0.0000 0.5000
Br: 0.1401 0.6401 0.2133
Br: 0.1401 0.6401 0.7867
Br: 0.3599 0.1401 0.2133
Br: 0.3599 0.1401 0.7867
Br: 0.5000 0.5000 0.5000
Br: 0.6401 0.8599 0.2133
Br: 0.6401 0.8599 0.7867
Br: 0.8599 0.3599 0.2133
Br: 0.8599 0.3599 0.7867